The following is a theoretical PXRD pattern of Rb3Si23. It was derived from the PBE geometry in Alexandria, using Cu Kα (weighted mean of Kα1 and Kα2).

Main lines, by angle (5 to 70 degrees two-theta):
2θ 12.12, I = 18
2θ 19.22, I = 16
2θ 27.31, I = 23
2θ 29.98, I = 82
2θ 31.23, I = 86
2θ 32.44, I = 100
2θ 34.75, I = 26
2θ 51.61, I = 66
2θ 53.22, I = 19
2θ 54.80, I = 46

Structure:
```
data_Rb3Si23
_symmetry_space_group_name_H-M 'P m -3 n'
_symmetry_Int_Tables_number 223
_symmetry_space_group_name_Hall '-P 4n 2 3'
_cell_length_a 10.327
_cell_length_b 10.327
_cell_length_c 10.327
_cell_angle_alpha 90.00
_cell_angle_beta 90.00
_cell_angle_gamma 90.00
loop_
_atom_site_label
_atom_site_type_symbol
_atom_site_fract_x
_atom_site_fract_y
_atom_site_fract_z
Rb1 Rb 0.000 0.250 0.500
Si1 Si 0.000 0.304 0.119
Si2 Si 0.000 0.500 0.250
Si3 Si 0.184 0.184 0.184
```